1.
Starting from a crystal structure in OQMD, relaxed with GGA-PBE, the X-ray powder pattern of YHo2Cd5 was computed for Cu Kα X-rays.
Peak positions follow from Bragg's law for the DFT cell and can differ from measured ones.

Top 8 peaks for 10° ≤ 2θ ≤ 90°, low angle first:
hkl 0 0 4, 2θ = 34.44°, intensity 23; hkl 1 2 2, 2θ = 34.66°, intensity 100; hkl 2 0 0, 2θ = 35.17°, intensity 26; hkl 0 4 0, 2θ = 49.62°, intensity 9; hkl 2 0 4, 2θ = 50.05°, intensity 15; hkl 0 4 4, 2θ = 61.82°, intensity 20; hkl 3 2 2, 2θ = 62.78°, intensity 17; hkl 2 4 4, 2θ = 73.14°, intensity 9

Atomic structure:
abc: 5.103 7.349 10.417
angles: 90.00 90.00 90.00
Space group Amm2 (No. 38)
One atom of each set of equivalent atoms:
Y 0.000 0.000 0.000 [2 per cell]
Ho 0.000 0.000 0.544 [2 per cell]
Ho 0.500 0.000 0.248 [2 per cell]
Cd 0.000 0.231 0.275 [4 per cell]
Cd 0.500 0.000 0.760 [2 per cell]
Cd 0.500 0.241 0.499 [4 per cell]



2.
Starting from a crystal structure in OQMD, relaxed with GGA-PBE, the X-ray powder pattern of CdI3 was computed for Cu Kα X-rays.
Peak positions follow from Bragg's law for the DFT cell and can differ from measured ones.

Top 8 peaks for 10° ≤ 2θ ≤ 90°, low angle first:
hkl 1 1 -1, 2θ = 15.88°, intensity 25; hkl 1 1 -2, 2θ = 21.98°, intensity 100; hkl 3 1 -1, 2θ = 23.67°, intensity 38; hkl 3 1 0, 2θ = 26.85°, intensity 35; hkl 2 2 1, 2θ = 35.32°, intensity 22; hkl 2 0 -4, 2θ = 35.42°, intensity 21; hkl 4 2 -3, 2θ = 40.11°, intensity 18; hkl 2 2 2, 2θ = 42.10°, intensity 22

Atomic structure:
abc: 13.721 6.712 10.349
angles: 90.00 123.33 90.00
Space group C2 (No. 5)
One atom of each set of equivalent atoms:
Cd 0.188 0.000 0.081 [4 per cell]
I 0.000 0.726 0.500 [2 per cell]
I 0.000 0.739 0.000 [2 per cell]
I 0.115 0.254 0.825 [4 per cell]
I 0.245 0.228 0.346 [4 per cell]



3.
Starting from a crystal structure in OQMD, relaxed with GGA-PBE, the X-ray powder pattern of CdI2 was computed for Cu Kα X-rays.
Peak positions follow from Bragg's law for the DFT cell and can differ from measured ones.

Top 8 peaks for 10° ≤ 2θ ≤ 90°, low angle first:
hkl 0 0 12, 2θ = 12.66°, intensity 32; hkl 1 0 12, 2θ = 27.20°, intensity 100; hkl 1 0 24, 2θ = 35.27°, intensity 29; hkl 1 1 0, 2θ = 42.16°, intensity 48; hkl 0 1 36, 2θ = 45.99°, intensity 24; hkl 0 2 12, 2θ = 50.90°, intensity 18; hkl 2 1 12, 2θ = 68.16°, intensity 14; hkl 1 1 48, 2θ = 69.38°, intensity 21

Atomic structure:
abc: 4.2869 4.2869 83.8807
angles: 90.00 90.00 120.00
Space group P3m1 (No. 156)
One atom of each set of equivalent atoms:
Cd 0.0000 0.0000 0.0000 [1 per cell]
Cd 0.0000 0.0000 0.0833 [1 per cell]
Cd 0.0000 0.0000 0.1666 [1 per cell]
Cd 0.0000 0.0000 0.2500 [1 per cell]
Cd 0.0000 0.0000 0.4167 [1 per cell]
Cd 0.0000 0.0000 0.5000 [1 per cell]
Cd 0.0000 0.0000 0.6666 [1 per cell]
Cd 0.0000 0.0000 0.7500 [1 per cell]
Cd 0.0000 0.0000 0.8333 [1 per cell]
Cd 0.3333 0.6667 0.3333 [1 per cell]
Cd 0.3333 0.6667 0.5833 [1 per cell]
Cd 0.3333 0.6667 0.9166 [1 per cell]
I 0.0000 0.0000 0.3127 [1 per cell]
I 0.0000 0.0000 0.5627 [1 per cell]
I 0.0000 0.0000 0.8961 [1 per cell]
I 0.3333 0.6667 0.0627 [1 per cell]
I 0.3333 0.6667 0.1460 [1 per cell]
I 0.3333 0.6667 0.2294 [1 per cell]
I 0.3333 0.6667 0.3960 [1 per cell]
I 0.3333 0.6667 0.4794 [1 per cell]
I 0.3333 0.6667 0.6460 [1 per cell]
I 0.3333 0.6667 0.7294 [1 per cell]
I 0.3333 0.6667 0.8127 [1 per cell]
I 0.3333 0.6667 0.9794 [1 per cell]
I 0.6667 0.3333 0.0206 [1 per cell]
I 0.6667 0.3333 0.1039 [1 per cell]
I 0.6667 0.3333 0.1873 [1 per cell]
I 0.6667 0.3333 0.2706 [1 per cell]
I 0.6667 0.3333 0.3539 [1 per cell]
I 0.6667 0.3333 0.4373 [1 per cell]
I 0.6667 0.3333 0.5206 [1 per cell]
I 0.6667 0.3333 0.6039 [1 per cell]
I 0.6667 0.3333 0.6873 [1 per cell]
I 0.6667 0.3333 0.7706 [1 per cell]
I 0.6667 0.3333 0.8539 [1 per cell]
I 0.6667 0.3333 0.9373 [1 per cell]



4.
Starting from a crystal structure in OQMD, relaxed with GGA-PBE, the X-ray powder pattern of CdI2 was computed for Cu Kα X-rays.
Peak positions follow from Bragg's law for the DFT cell and can differ from measured ones.

Top 8 peaks for 10° ≤ 2θ ≤ 90°, low angle first:
hkl 0 0 11, 2θ = 12.68°, intensity 43; hkl 0 1 11, 2θ = 27.20°, intensity 100; hkl 0 1 16, 2θ = 30.44°, intensity 24; hkl 1 0 17, 2θ = 31.18°, intensity 37; hkl 0 1 27, 2θ = 39.94°, intensity 19; hkl 1 1 0, 2θ = 42.15°, intensity 62; hkl 1 0 33, 2θ = 46.04°, intensity 23; hkl 1 1 44, 2θ = 69.45°, intensity 28

Atomic structure:
abc: 4.2881 4.2881 76.7665
angles: 90.00 90.00 120.00
Space group P3m1 (No. 156)
One atom of each set of equivalent atoms:
Cd 0.0000 0.0000 0.0000 [1 per cell]
Cd 0.0000 0.0000 0.0909 [1 per cell]
Cd 0.0000 0.0000 0.2727 [1 per cell]
Cd 0.0000 0.0000 0.4546 [1 per cell]
Cd 0.0000 0.0000 0.6364 [1 per cell]
Cd 0.0000 0.0000 0.8182 [1 per cell]
Cd 0.3333 0.6667 0.3637 [1 per cell]
Cd 0.3333 0.6667 0.5455 [1 per cell]
Cd 0.3333 0.6667 0.7273 [1 per cell]
Cd 0.3333 0.6667 0.9091 [1 per cell]
Cd 0.6667 0.3333 0.1818 [1 per cell]
I 0.0000 0.0000 0.1594 [1 per cell]
I 0.0000 0.0000 0.3862 [1 per cell]
I 0.0000 0.0000 0.5680 [1 per cell]
I 0.0000 0.0000 0.7498 [1 per cell]
I 0.0000 0.0000 0.9316 [1 per cell]
I 0.3333 0.6667 0.0225 [1 per cell]
I 0.3333 0.6667 0.1134 [1 per cell]
I 0.3333 0.6667 0.2043 [1 per cell]
I 0.3333 0.6667 0.2952 [1 per cell]
I 0.3333 0.6667 0.4770 [1 per cell]
I 0.3333 0.6667 0.6589 [1 per cell]
I 0.3333 0.6667 0.8407 [1 per cell]
I 0.6667 0.3333 0.0684 [1 per cell]
I 0.6667 0.3333 0.2502 [1 per cell]
I 0.6667 0.3333 0.3411 [1 per cell]
I 0.6667 0.3333 0.4320 [1 per cell]
I 0.6667 0.3333 0.5229 [1 per cell]
I 0.6667 0.3333 0.6139 [1 per cell]
I 0.6667 0.3333 0.7048 [1 per cell]
I 0.6667 0.3333 0.7957 [1 per cell]
I 0.6667 0.3333 0.8866 [1 per cell]
I 0.6667 0.3333 0.9775 [1 per cell]



5.
Starting from a crystal structure in OQMD, relaxed with GGA-PBE, the X-ray powder pattern of CdI2 was computed for Cu Kα X-rays.
Peak positions follow from Bragg's law for the DFT cell and can differ from measured ones.

Top 8 peaks for 10° ≤ 2θ ≤ 90°, low angle first:
hkl 0 0 36, 2θ = 12.62°, intensity 71; hkl 0 1 35, 2θ = 26.92°, intensity 81; hkl 1 0 37, 2θ = 27.26°, intensity 79; hkl 0 1 53, 2θ = 30.45°, intensity 49; hkl 1 0 55, 2θ = 30.90°, intensity 51; hkl 0 1 89, 2θ = 39.93°, intensity 27; hkl 1 1 0, 2θ = 41.99°, intensity 100; hkl 1 1 144, 2θ = 69.09°, intensity 45

Atomic structure:
abc: 4.3037 4.3037 252.5734
angles: 90.00 90.00 120.00
Space group R3m (No. 160, hexagonal axes)
One atom of each set of equivalent atoms:
Cd 0.0000 0.0000 0.0000 [3 per cell]
Cd 0.0000 0.0000 0.0555 [3 per cell]
Cd 0.0000 0.0000 0.1111 [3 per cell]
Cd 0.0000 0.0000 0.1666 [3 per cell]
Cd 0.0000 0.0000 0.2222 [3 per cell]
Cd 0.0000 0.0000 0.2778 [3 per cell]
Cd 0.0000 0.0000 0.4722 [3 per cell]
Cd 0.0000 0.0000 0.5278 [3 per cell]
Cd 0.0000 0.0000 0.5833 [3 per cell]
Cd 0.0000 0.0000 0.6389 [3 per cell]
Cd 0.0000 0.0000 0.6944 [3 per cell]
Cd 0.0000 0.0000 0.7500 [3 per cell]
I 0.0000 0.0000 0.0209 [3 per cell]
I 0.0000 0.0000 0.0765 [3 per cell]
I 0.0000 0.0000 0.1457 [3 per cell]
I 0.0000 0.0000 0.2013 [3 per cell]
I 0.0000 0.0000 0.2568 [3 per cell]
I 0.0000 0.0000 0.3124 [3 per cell]
I 0.0000 0.0000 0.3402 [3 per cell]
I 0.0000 0.0000 0.3679 [3 per cell]
I 0.0000 0.0000 0.3957 [3 per cell]
I 0.0000 0.0000 0.4235 [3 per cell]
I 0.0000 0.0000 0.4513 [3 per cell]
I 0.0000 0.0000 0.5068 [3 per cell]
I 0.0000 0.0000 0.5624 [3 per cell]
I 0.0000 0.0000 0.6179 [3 per cell]
I 0.0000 0.0000 0.6598 [3 per cell]
I 0.0000 0.0000 0.7154 [3 per cell]
I 0.0000 0.0000 0.7709 [3 per cell]
I 0.0000 0.0000 0.7987 [3 per cell]
I 0.0000 0.0000 0.8265 [3 per cell]
I 0.0000 0.0000 0.8543 [3 per cell]
I 0.0000 0.0000 0.8820 [3 per cell]
I 0.0000 0.0000 0.9098 [3 per cell]
I 0.0000 0.0000 0.9376 [3 per cell]
I 0.0000 0.0000 0.9653 [3 per cell]



6.
Starting from a crystal structure in OQMD, relaxed with GGA-PBE, the X-ray powder pattern of CdI2 was computed for Cu Kα X-rays.
Peak positions follow from Bragg's law for the DFT cell and can differ from measured ones.

Top 8 peaks for 10° ≤ 2θ ≤ 90°, low angle first:
hkl 1 0 1, 2θ = 11.57°, intensity 35; hkl 0 0 2, 2θ = 15.87°, intensity 69; hkl 2 0 2, 2θ = 23.26°, intensity 72; hkl 1 0 3, 2θ = 25.39°, intensity 33; hkl 2 1 0, 2θ = 27.18°, intensity 61; hkl 2 1 1, 2θ = 28.35°, intensity 49; hkl 2 1 2, 2θ = 31.63°, intensity 100; hkl 4 1 0, 2θ = 40.53°, intensity 31

Atomic structure:
abc: 10.492 4.205 11.169
angles: 90.00 90.00 90.00
Space group Pnma (No. 62)
One atom of each set of equivalent atoms:
Cd 0.161 0.250 0.032 [4 per cell]
I 0.014 0.750 0.173 [4 per cell]
I 0.164 0.250 0.473 [4 per cell]



7.
Starting from a crystal structure in OQMD, relaxed with GGA-PBE, the X-ray powder pattern of CdI2 was computed for Cu Kα X-rays.
Peak positions follow from Bragg's law for the DFT cell and can differ from measured ones.

Top 8 peaks for 10° ≤ 2θ ≤ 90°, low angle first:
hkl 2 1 1, 2θ = 17.01°, intensity 32; hkl 2 2 2, 2θ = 24.15°, intensity 100; hkl 3 2 1, 2θ = 26.12°, intensity 19; hkl 4 3 1, 2θ = 35.87°, intensity 21; hkl 4 4 0, 2θ = 39.95°, intensity 68; hkl 6 2 2, 2θ = 47.23°, intensity 46; hkl 6 6 2, 2θ = 63.53°, intensity 18; hkl 8 4 4, 2θ = 72.55°, intensity 21

Atomic structure:
abc: 12.767 12.767 12.767
angles: 90.00 90.00 90.00
Space group I-43m (No. 217)
One atom of each set of equivalent atoms:
Cd 0.000 0.250 0.500 [12 per cell]
I 0.128 0.128 0.366 [24 per cell]



8.
Starting from a crystal structure in OQMD, relaxed with GGA-PBE, the X-ray powder pattern of CdI2 was computed for Cu Kα X-rays.
Peak positions follow from Bragg's law for the DFT cell and can differ from measured ones.

Top 8 peaks for 10° ≤ 2θ ≤ 90°, low angle first:
hkl 1 1 0, 2θ = 17.24°, intensity 61; hkl 1 1 1, 2θ = 26.75°, intensity 100; hkl 2 1 0, 2θ = 27.42°, intensity 44; hkl 2 1 1, 2θ = 34.35°, intensity 69; hkl 2 2 0, 2θ = 34.89°, intensity 35; hkl 0 0 2, 2θ = 41.27°, intensity 21; hkl 3 0 1, 2θ = 42.63°, intensity 63; hkl 5 2 1, 2θ = 73.36°, intensity 21

Atomic structure:
abc: 7.274 7.274 4.375
angles: 90.00 90.00 90.00
Space group P4_2/mnm (No. 136)
One atom of each set of equivalent atoms:
Cd 0.000 0.000 0.000 [2 per cell]
I 0.195 0.195 0.500 [4 per cell]